(1)
# MnAlW2O8
Theoretical powder X-ray diffraction pattern, λ = 1.5418 Å (Cu Kα). Input: a structure optimized by DFT (GGA+U).

Main lines, by angle (5° ≤ 2θ ≤ 70°):
15.62 deg, intensity 30; 19.14 deg, intensity 83; 23.41 deg, intensity 82; 24.80 deg, intensity 70; 30.12 deg, intensity 100; 30.70 deg, intensity 96; 35.05 deg, intensity 35; 36.21 deg, intensity 46; 41.49 deg, intensity 35; 52.25 deg, intensity 31

Structural model:
Unit cell a=5.1219 b=5.6721 c=10.4804 alpha=90.00 beta=117.77 gamma=90.00
Space group Pc (No. 7)
Symmetry-distinct sites (fractional):
Mn (0.0000, 0.1511, 0.0000) (multiplicity 2)
Al (0.4990, 0.1572, 0.5025) (multiplicity 2)
W (0.2413, 0.3292, 0.7465) (multiplicity 2)
W (0.7420, 0.3380, 0.2516) (multiplicity 2)
O (0.1770, 0.3801, 0.3579) (multiplicity 2)
O (0.2554, 0.1036, 0.8792) (multiplicity 2)
O (0.2849, 0.1391, 0.6026) (multiplicity 2)
O (0.3212, 0.3900, 0.1393) (multiplicity 2)
O (0.6897, 0.3835, 0.8544) (multiplicity 2)
O (0.6998, 0.1441, 0.3855) (multiplicity 2)
O (0.7501, 0.1083, 0.1234) (multiplicity 2)
O (0.7951, 0.3836, 0.6284) (multiplicity 2)


(2)
# MnAlW2O8
Theoretical powder X-ray diffraction pattern, λ = 1.5418 Å (Cu Kα). Input: a structure optimized by DFT (GGA+U).

Main lines, by angle (5° ≤ 2θ ≤ 70°):
15.62 deg, intensity 31; 19.16 deg, intensity 83; 23.40 deg, intensity 81; 24.81 deg, intensity 71; 30.10 deg, intensity 100; 30.72 deg, intensity 95; 35.05 deg, intensity 35; 36.20 deg, intensity 47; 41.51 deg, intensity 35; 52.24 deg, intensity 31

Structural model:
Unit cell a=5.1228 b=5.6743 c=9.2702 alpha=90.00 beta=91.57 gamma=90.00
Space group P2 (No. 3)
Symmetry-distinct sites (fractional):
Mn (0.0000, 0.0000, 0.0000) (multiplicity 1)
Mn (0.5000, 0.2965, 0.5000) (multiplicity 1)
Al (0.0000, 0.9889, 0.5000) (multiplicity 1)
Al (0.5000, 0.3098, 0.0000) (multiplicity 1)
W (0.0067, 0.4914, 0.7522) (multiplicity 2)
W (0.4980, 0.8230, 0.2512) (multiplicity 2)
O (0.1256, 0.2624, 0.3748) (multiplicity 2)
O (0.1658, 0.7685, 0.8573) (multiplicity 2)
O (0.1685, 0.7665, 0.3667) (multiplicity 2)
O (0.1810, 0.2981, 0.8893) (multiplicity 2)
O (0.3112, 0.0122, 0.6061) (multiplicity 2)
O (0.3185, 0.5391, 0.6425) (multiplicity 2)
O (0.3217, 0.5321, 0.1369) (multiplicity 2)
O (0.3733, 0.0509, 0.1195) (multiplicity 2)


(3)
# MnAlW2O8
Theoretical powder X-ray diffraction pattern, λ = 1.5418 Å (Cu Kα). Input: a structure optimized by DFT (GGA+U).

Main lines, by angle (5° ≤ 2θ ≤ 70°):
15.61 deg, intensity 31; 19.14 deg, intensity 83; 23.39 deg, intensity 81; 24.79 deg, intensity 70; 30.08 deg, intensity 100; 30.71 deg, intensity 95; 35.04 deg, intensity 35; 36.19 deg, intensity 47; 41.49 deg, intensity 35; 52.22 deg, intensity 31

Structural model:
Unit cell a=5.1238 b=5.6758 c=9.2794 alpha=90.00 beta=91.59 gamma=90.00
Space group P2 (No. 3)
Symmetry-distinct sites (fractional):
Mn (0.0000, 0.0000, 0.0000) (multiplicity 1)
Mn (0.5000, 0.2998, 0.5000) (multiplicity 1)
Al (0.0000, 0.9892, 0.5000) (multiplicity 1)
Al (0.5000, 0.3095, 0.0000) (multiplicity 1)
W (0.0064, 0.4915, 0.7523) (multiplicity 2)
W (0.4984, 0.8237, 0.2510) (multiplicity 2)
O (0.1264, 0.2632, 0.3750) (multiplicity 2)
O (0.1661, 0.7684, 0.8576) (multiplicity 2)
O (0.1685, 0.7672, 0.3664) (multiplicity 2)
O (0.1812, 0.2979, 0.8891) (multiplicity 2)
O (0.3111, 0.0124, 0.6059) (multiplicity 2)
O (0.3182, 0.5400, 0.6425) (multiplicity 2)
O (0.3220, 0.5323, 0.1368) (multiplicity 2)
O (0.3723, 0.0511, 0.1192) (multiplicity 2)


(4)
# Al2Mo2O7
Theoretical powder X-ray diffraction pattern, λ = 1.5418 Å (Cu Kα). Input: a structure optimized by DFT (GGA+U).

Main lines, by angle (5° ≤ 2θ ≤ 70°):
13.81 deg, intensity 45; 14.41 deg, intensity 30; 15.72 deg, intensity 36; 17.12 deg, intensity 28; 27.83 deg, intensity 100; 29.06 deg, intensity 72; 31.74 deg, intensity 61; 34.65 deg, intensity 38; 36.27 deg, intensity 28; 50.58 deg, intensity 26

Structural model:
Unit cell a=6.4255 b=6.9070 c=7.0784 alpha=70.23 beta=68.16 gamma=65.76
Space group P1 (No. 1)
Symmetry-distinct sites (fractional):
Al (0.0000, 0.0000, 0.0000) (multiplicity 1)
Al (0.0113, 0.0559, 0.5021) (multiplicity 1)
Al (0.1579, 0.4155, 0.8203) (multiplicity 1)
Al (0.5779, 0.0613, 0.9233) (multiplicity 1)
Mo (0.0430, 0.5736, 0.3917) (multiplicity 1)
Mo (0.5290, 0.6300, 0.8900) (multiplicity 1)
Mo (0.5431, 0.0595, 0.4398) (multiplicity 1)
Mo (0.5871, 0.5767, 0.3600) (multiplicity 1)
O (0.1587, 0.1621, 0.9855) (multiplicity 1)
O (0.1932, 0.7265, 0.0633) (multiplicity 1)
O (0.2043, 0.2202, 0.4241) (multiplicity 1)
O (0.2897, 0.4865, 0.5375) (multiplicity 1)
O (0.3902, 0.8214, 0.4897) (multiplicity 1)
O (0.4418, 0.3859, 0.8610) (multiplicity 1)
O (0.5252, 0.9500, 0.7385) (multiplicity 1)
O (0.5732, 0.7674, 0.0745) (multiplicity 1)
O (0.6828, 0.0840, 0.1278) (multiplicity 1)
O (0.7251, 0.2585, 0.4498) (multiplicity 1)
O (0.8794, 0.5171, 0.7405) (multiplicity 1)
O (0.9080, 0.0094, 0.7809) (multiplicity 1)
O (0.9174, 0.5342, 0.2028) (multiplicity 1)
O (0.9302, 0.8875, 0.4063) (multiplicity 1)


(5)
# Al2Mo2O7
Theoretical powder X-ray diffraction pattern, λ = 1.5418 Å (Cu Kα). Input: a structure optimized by DFT (GGA+U).

Main lines, by angle (5° ≤ 2θ ≤ 70°):
14.95 deg, intensity 32; 15.06 deg, intensity 36; 15.23 deg, intensity 32; 29.64 deg, intensity 34; 30.14 deg, intensity 100; 30.38 deg, intensity 87; 30.74 deg, intensity 76; 34.20 deg, intensity 50; 49.83 deg, intensity 30; 54.77 deg, intensity 49

Structural model:
Unit cell a=6.6816 b=6.7508 c=6.7673 alpha=66.11 beta=65.97 gamma=65.33
Space group P-1 (No. 2)
Symmetry-distinct sites (fractional):
Al (0.0000, 0.0000, 0.0000) (multiplicity 1)
Al (0.0000, 0.0000, 0.5000) (multiplicity 1)
Al (0.0000, 0.5000, 0.0000) (multiplicity 1)
Al (0.5000, 0.0000, 0.0000) (multiplicity 1)
Mo (0.0000, 0.5000, 0.5000) (multiplicity 1)
Mo (0.5000, 0.0000, 0.5000) (multiplicity 1)
Mo (0.5000, 0.5000, 0.0000) (multiplicity 1)
Mo (0.5000, 0.5000, 0.5000) (multiplicity 1)
O (0.1110, 0.1529, 0.1069) (multiplicity 2)
O (0.1441, 0.5219, 0.1804) (multiplicity 2)
O (0.1541, 0.1173, 0.6042) (multiplicity 2)
O (0.1798, 0.6843, 0.4881) (multiplicity 2)
O (0.3289, 0.5058, 0.8176) (multiplicity 2)
O (0.3825, 0.8438, 0.9052) (multiplicity 2)
O (0.4913, 0.8366, 0.3211) (multiplicity 2)


(6)
# Rb5AlMo4O16
Theoretical powder X-ray diffraction pattern, λ = 1.5418 Å (Cu Kα). Input: a structure optimized by DFT (GGA+U).

Main lines, by angle (5° ≤ 2θ ≤ 70°):
22.55 deg, intensity 17; 25.19 deg, intensity 50; 25.52 deg, intensity 94; 28.36 deg, intensity 100; 28.82 deg, intensity 48; 38.39 deg, intensity 18; 38.64 deg, intensity 39; 42.71 deg, intensity 24; 48.14 deg, intensity 15; 50.78 deg, intensity 18

Structural model:
Unit cell a=6.1956 b=8.4585 c=10.6287 alpha=69.01 beta=89.90 gamma=89.86
Space group P1 (No. 1)
Symmetry-distinct sites (fractional):
Rb (0.0000, 0.0000, 0.0000) (multiplicity 1)
Rb (0.9998, 0.1844, 0.5817) (multiplicity 1)
Rb (0.4984, 0.1296, 0.3031) (multiplicity 1)
Rb (0.4995, 0.5185, 0.4684) (multiplicity 1)
Rb (0.5002, 0.7274, 0.0897) (multiplicity 1)
Al (0.9968, 0.4962, 0.7214) (multiplicity 1)
Mo (0.9996, 0.4349, 0.1929) (multiplicity 1)
Mo (0.4974, 0.3529, 0.8840) (multiplicity 1)
Mo (0.5003, 0.9329, 0.7060) (multiplicity 1)
Mo (0.9982, 0.8098, 0.3940) (multiplicity 1)
O (0.0022, 0.2843, 0.1082) (multiplicity 1)
O (0.2302, 0.8213, 0.2943) (multiplicity 1)
O (0.2330, 0.4084, 0.3001) (multiplicity 1)
O (0.2359, 0.3946, 0.7847) (multiplicity 1)
O (0.2636, 0.9196, 0.8065) (multiplicity 1)
O (0.4974, 0.1418, 0.9890) (multiplicity 1)
O (0.4983, 0.1407, 0.5739) (multiplicity 1)
O (0.4986, 0.4678, 0.9876) (multiplicity 1)
O (0.5058, 0.7644, 0.6381) (multiplicity 1)
O (0.7327, 0.9238, 0.8085) (multiplicity 1)
O (0.7591, 0.3928, 0.7845) (multiplicity 1)
O (0.7642, 0.4072, 0.2990) (multiplicity 1)
O (0.7669, 0.8221, 0.2940) (multiplicity 1)
O (0.9985, 0.6045, 0.5526) (multiplicity 1)
O (0.9982, 0.9887, 0.4395) (multiplicity 1)
O (0.9986, 0.6468, 0.0727) (multiplicity 1)


(7)
# Sr4Al6MoO16
Theoretical powder X-ray diffraction pattern, λ = 1.5418 Å (Cu Kα). Input: a structure optimized by DFT (GGA+U).

Main lines, by angle (5° ≤ 2θ ≤ 70°):
22.62 deg, intensity 50; 22.83 deg, intensity 100; 26.26 deg, intensity 94; 26.51 deg, intensity 37; 32.41 deg, intensity 63; 37.84 deg, intensity 50; 46.18 deg, intensity 33; 46.64 deg, intensity 54; 54.04 deg, intensity 30; 67.86 deg, intensity 24

Structural model:
Unit cell a=9.5101 b=9.5101 c=9.6908 alpha=90.00 beta=90.00 gamma=90.00
Space group I-4m2 (No. 119)
Symmetry-distinct sites (fractional):
Sr (0.2414, 0.2414, 0.0000) (multiplicity 8)
Al (0.0000, 0.0000, 0.0000) (multiplicity 2)
Al (0.0000, 0.0000, 0.5000) (multiplicity 2)
Al (0.0000, 0.2483, 0.7464) (multiplicity 8)
Mo (0.0000, 0.5000, 0.2500) (multiplicity 2)
O (0.0000, 0.1543, 0.9023) (multiplicity 8)
O (0.0000, 0.1633, 0.5856) (multiplicity 8)
O (0.0000, 0.3459, 0.1417) (multiplicity 8)
O (0.1606, 0.3394, 0.7500) (multiplicity 8)